(1)
The following is a computed powder XRD pattern of NpNi12Pt6. It was derived from a cell relaxed with GGA-PBE, using copper Kα.
Lines closer than 0.1° are merged.

The 6 most intense peaks (2θ = 15–90°), in order of rising 2θ:
| 2θ (°) | intensity |
| --- | --- |
| 27.45 | 100 |
| 29.30 | 32 |
| 43.44 | 64 |
| 44.58 | 69 |
| 47.89 | 66 |
| 49.48 | 44 |

Atomic structure:
Lattice parameters (Å, degrees): 6.8144 6.8144 6.8144 105.65 105.65 105.65
Positions (direct):
Np: 0.0000 0.0000 0.0000
Ni: 0.0954 0.3340 0.3340
Ni: 0.1085 0.5000 0.8915
Ni: 0.1085 0.8915 0.5000
Ni: 0.3340 0.0954 0.3340
Ni: 0.3340 0.3340 0.0954
Ni: 0.5000 0.1085 0.8915
Ni: 0.5000 0.8915 0.1085
Ni: 0.6660 0.6660 0.9046
Ni: 0.6660 0.9046 0.6660
Ni: 0.8915 0.1085 0.5000
Ni: 0.8915 0.5000 0.1085
Ni: 0.9046 0.6660 0.6660
Pt: 0.3006 0.3006 0.6955
Pt: 0.3006 0.6955 0.3006
Pt: 0.3045 0.6994 0.6994
Pt: 0.6955 0.3006 0.3006
Pt: 0.6994 0.3045 0.6994
Pt: 0.6994 0.6994 0.3045

(2)
The following is a computed powder XRD pattern of LiMg14Cd. It was derived from a cell relaxed with GGA-PBE, using copper Kα.
Lines closer than 0.1° are merged.

The 6 most intense peaks (2θ = 15–90°), in order of rising 2θ:
| 2θ (°) | intensity |
| --- | --- |
| 18.35 | 41 |
| 32.83 | 25 |
| 34.33 | 28 |
| 37.18 | 100 |
| 63.37 | 22 |
| 69.72 | 20 |

Atomic structure:
Lattice parameters (Å, degrees): 6.2997 6.2997 10.4475 90.00 90.00 120.00
Positions (direct):
Li: 0.0000 0.0000 0.0000
Mg: 0.0007 0.5004 0.0000
Mg: 0.1660 0.3321 0.2492
Mg: 0.1660 0.3321 0.7508
Mg: 0.1660 0.8340 0.2492
Mg: 0.1660 0.8340 0.7508
Mg: 0.4996 0.5004 0.0000
Mg: 0.4996 0.9993 0.0000
Mg: 0.5006 0.0012 0.5000
Mg: 0.5006 0.4994 0.5000
Mg: 0.6667 0.3333 0.2469
Mg: 0.6667 0.3333 0.7531
Mg: 0.6679 0.8340 0.2492
Mg: 0.6679 0.8340 0.7508
Mg: 0.9988 0.4994 0.5000
Cd: 0.0000 0.0000 0.5000

(3)
The following is a computed powder XRD pattern of Cs2Sn3Pb9. It was derived from a cell relaxed with GGA-PBE, using copper Kα.
Lines closer than 0.1° are merged.

The 6 most intense peaks (2θ = 15–90°), in order of rising 2θ:
| 2θ (°) | intensity |
| --- | --- |
| 27.74 | 56 |
| 29.28 | 78 |
| 29.33 | 61 |
| 29.90 | 34 |
| 30.40 | 53 |
| 32.49 | 100 |

Atomic structure:
Lattice parameters (Å, degrees): 10.0031 10.0031 13.7936 115.42 115.42 55.79
Positions (direct):
Cs: 0.0973 0.2568 0.2333
Cs: 0.2568 0.0973 0.7333
Cs: 0.7432 0.9027 0.2667
Cs: 0.9027 0.7432 0.7667
Sn: 0.0000 0.5000 0.0000
Sn: 0.1431 0.6830 0.4946
Sn: 0.3170 0.8569 0.0054
Sn: 0.5000 0.0000 0.5000
Sn: 0.6830 0.1431 0.9946
Sn: 0.8569 0.3170 0.5054
Pb: 0.0353 0.8503 0.1090
Pb: 0.1497 0.9647 0.3910
Pb: 0.1917 0.3753 0.5654
Pb: 0.2574 0.5571 0.2640
Pb: 0.3208 0.4935 0.9727
Pb: 0.3434 0.6566 0.7500
Pb: 0.3753 0.1917 0.0654
Pb: 0.4429 0.7426 0.2360
Pb: 0.4935 0.3208 0.4727
Pb: 0.5065 0.6792 0.5273
Pb: 0.5571 0.2574 0.7640
Pb: 0.6247 0.8083 0.9346
Pb: 0.6566 0.3434 0.2500
Pb: 0.6792 0.5065 0.0273
Pb: 0.7426 0.4429 0.7360
Pb: 0.8083 0.6247 0.4346
Pb: 0.8503 0.0353 0.6090
Pb: 0.9647 0.1497 0.8910

(4)
The following is a computed powder XRD pattern of Li3Ag4. It was derived from a cell relaxed with GGA-PBE, using copper Kα.
Lines closer than 0.1° are merged.

The 6 most intense peaks (2θ = 15–90°), in order of rising 2θ:
| 2θ (°) | intensity |
| --- | --- |
| 22.98 | 54 |
| 26.37 | 15 |
| 31.09 | 25 |
| 38.53 | 100 |
| 44.15 | 33 |
| 65.69 | 19 |

Atomic structure:
Lattice parameters (Å, degrees): 2.9056 3.9423 20.2787 90.00 90.00 90.00
Positions (direct):
Li: 0.0000 0.0000 0.0000
Li: 0.0000 0.0000 0.1453
Li: 0.0000 0.0000 0.8547
Li: 0.5000 0.5000 0.3547
Li: 0.5000 0.5000 0.5000
Li: 0.5000 0.5000 0.6453
Ag: 0.0000 0.0000 0.2879
Ag: 0.0000 0.0000 0.4291
Ag: 0.0000 0.0000 0.5709
Ag: 0.0000 0.0000 0.7121
Ag: 0.5000 0.5000 0.0709
Ag: 0.5000 0.5000 0.2121
Ag: 0.5000 0.5000 0.7879
Ag: 0.5000 0.5000 0.9291

(5)
The following is a computed powder XRD pattern of ErPd3Au2. It was derived from a cell relaxed with GGA-PBE, using copper Kα.
Lines closer than 0.1° are merged.

The 6 most intense peaks (2θ = 15–90°), in order of rising 2θ:
| 2θ (°) | intensity |
| --- | --- |
| 37.44 | 100 |
| 38.09 | 95 |
| 43.18 | 33 |
| 43.40 | 34 |
| 45.07 | 29 |
| 62.88 | 22 |

Atomic structure:
Lattice parameters (Å, degrees): 5.7378 4.1702 8.8235 90.00 92.33 90.00
Positions (direct):
Er: 0.1247 0.2500 0.2461
Er: 0.8753 0.7500 0.7539
Pd: 0.1306 0.2500 0.9166
Pd: 0.3711 0.7500 0.4154
Pd: 0.3740 0.7500 0.7470
Pd: 0.6260 0.2500 0.2530
Pd: 0.6289 0.2500 0.5846
Pd: 0.8694 0.7500 0.0834
Au: 0.1391 0.2500 0.5832
Au: 0.3762 0.7500 0.0824
Au: 0.6238 0.2500 0.9176
Au: 0.8609 0.7500 0.4168

(6)
The following is a computed powder XRD pattern of Sb2AuN2. It was derived from a cell relaxed with GGA-PBE, using copper Kα.
Lines closer than 0.1° are merged.

The 6 most intense peaks (2θ = 15–90°), in order of rising 2θ:
| 2θ (°) | intensity |
| --- | --- |
| 29.11 | 100 |
| 29.80 | 58 |
| 29.91 | 46 |
| 32.83 | 40 |
| 41.63 | 49 |
| 44.25 | 37 |

Atomic structure:
Lattice parameters (Å, degrees): 4.3408 4.3364 13.6429 90.00 90.66 90.00
Positions (direct):
Sb: 0.0125 0.0000 0.1962
Sb: 0.4875 0.5000 0.8038
Sb: 0.5125 0.5000 0.1962
Sb: 0.9875 0.0000 0.8038
Au: 0.0000 0.0000 0.0000
Au: 0.5000 0.5000 0.0000
N: 0.0019 0.5000 0.4592
N: 0.4981 0.0000 0.5408
N: 0.5019 0.0000 0.4592
N: 0.9981 0.5000 0.5408

(7)
The following is a computed powder XRD pattern of V5GaRh6. It was derived from a cell relaxed with GGA-PBE, using copper Kα.
Lines closer than 0.1° are merged.

The 6 most intense peaks (2θ = 15–90°), in order of rising 2θ:
| 2θ (°) | intensity |
| --- | --- |
| 32.03 | 12 |
| 41.20 | 100 |
| 45.69 | 20 |
| 46.17 | 17 |
| 51.78 | 12 |
| 81.40 | 13 |

Atomic structure:
Lattice parameters (Å, degrees): 7.1555 7.1555 7.1555 147.78 120.86 68.96
Positions (direct):
V: 0.0000 0.0000 0.0000
V: 0.1459 0.6459 0.5000
V: 0.3131 0.3131 0.0000
V: 0.6869 0.6869 0.0000
V: 0.8541 0.3541 0.5000
Ga: 0.5000 0.0000 0.5000
Rh: 0.0941 0.8314 0.2627
Rh: 0.2724 0.5000 0.7724
Rh: 0.4314 0.1686 0.2627
Rh: 0.5686 0.8314 0.7373
Rh: 0.7276 0.5000 0.2276
Rh: 0.9059 0.1686 0.7373

(8)
The following is a computed powder XRD pattern of YTiB2. It was derived from a cell relaxed with GGA-PBE, using copper Kα.
Lines closer than 0.1° are merged.

The 6 most intense peaks (2θ = 15–90°), in order of rising 2θ:
| 2θ (°) | intensity |
| --- | --- |
| 25.54 | 21 |
| 29.58 | 86 |
| 42.32 | 100 |
| 52.48 | 23 |
| 69.61 | 28 |
| 77.40 | 30 |

Atomic structure:
Lattice parameters (Å, degrees): 6.0401 6.0401 6.0401 90.00 90.00 90.00
Positions (direct):
Y: 0.0000 0.0000 0.0000
Y: 0.0000 0.5000 0.5000
Y: 0.5000 0.0000 0.5000
Y: 0.5000 0.5000 0.0000
Ti: 0.0000 0.0000 0.5000
Ti: 0.0000 0.5000 0.0000
Ti: 0.5000 0.0000 0.0000
Ti: 0.5000 0.5000 0.5000
B: 0.2500 0.2500 0.2500
B: 0.2500 0.2500 0.7500
B: 0.2500 0.7500 0.2500
B: 0.2500 0.7500 0.7500
B: 0.7500 0.2500 0.2500
B: 0.7500 0.2500 0.7500
B: 0.7500 0.7500 0.2500
B: 0.7500 0.7500 0.7500

(9)
The following is a computed powder XRD pattern of Pm5PrSm4. It was derived from a cell relaxed with GGA-PBE, using copper Kα.
Lines closer than 0.1° are merged.

The 6 most intense peaks (2θ = 15–90°), in order of rising 2θ:
| 2θ (°) | intensity |
| --- | --- |
| 28.71 | 15 |
| 29.03 | 100 |
| 33.39 | 18 |
| 35.88 | 40 |
| 51.05 | 16 |
| 60.34 | 17 |

Atomic structure:
Lattice parameters (Å, degrees): 8.1271 8.1271 8.1271 98.42 98.42 135.00
Positions (direct):
Pm: 0.0000 0.0000 0.0000
Pm: 0.5464 0.5472 0.6208
Pm: 0.5472 0.9264 0.0009
Pm: 0.9256 0.5464 0.9991
Pm: 0.9264 0.9256 0.3792
Pr: 0.4653 0.4653 0.0000
Sm: 0.2179 0.5451 0.3262
Sm: 0.2189 0.8917 0.6738
Sm: 0.5451 0.2189 0.3271
Sm: 0.8917 0.2179 0.6729

(10)
The following is a computed powder XRD pattern of CeSnBiPb. It was derived from a cell relaxed with GGA-PBE, using copper Kα.
Lines closer than 0.1° are merged.

The 6 most intense peaks (2θ = 15–90°), in order of rising 2θ:
| 2θ (°) | intensity |
| --- | --- |
| 31.91 | 100 |
| 36.08 | 18 |
| 37.19 | 17 |
| 37.75 | 16 |
| 62.27 | 15 |
| 63.76 | 14 |

Atomic structure:
Lattice parameters (Å, degrees): 4.7660 4.8351 4.9789 90.00 90.00 90.00
Positions (direct):
Ce: 0.0000 0.0000 0.0000
Sn: 0.5000 0.0000 0.5000
Bi: 0.5000 0.5000 0.0000
Pb: 0.0000 0.5000 0.5000